Entry 1:
Cs2LaRe3O12: calculated powder diffractogram (copper Kα), based on DFT lattice parameters and positions (PBE).
Peak positions follow from Bragg's law for the DFT cell and can differ from measured ones.

Crystal structure
```
data_Cs2LaRe3O12
_cell_length_a 7.4560
_cell_length_b 7.4560
_cell_length_c 19.4204
_cell_angle_alpha 90.00
_cell_angle_beta 90.00
_cell_angle_gamma 120.00
_space_group_name_H-M_alt 'R -3 m'
_space_group_IT_number 166
_space_group_name_Hall '-R 3 2"'
loop_
_atom_site_label
_atom_site_type_symbol
_atom_site_fract_x
_atom_site_fract_y
_atom_site_fract_z
Cs1 Cs 0.0000 0.0000 0.1128
La1 La 0.0000 0.0000 0.5000
Re1 Re 0.0000 0.5000 0.0000
O1 O 0.0303 0.5151 0.0952
O2 O 0.0860 0.5430 0.3405
```

Most intense lines, 5 to 70 degrees two-theta, low angle first:
d 6.473, intensity 41, (0 0 3); d 6.127, intensity 25, (1 0 1); d 3.328, intensity 60, (0 1 5); d 3.232, intensity 100, (0 0 6); d 3.185, intensity 75, (0 2 1); d 3.064, intensity 85, (2 0 2); d 2.066, intensity 24, (1 2 5); d 2.042, intensity 25, (3 0 3); d 1.940, intensity 35, (2 0 8); d 1.864, intensity 44, (2 2 0)

Entry 2:
CsLaSO: calculated powder diffractogram (copper Kα), based on DFT lattice parameters and positions (PBE).
Peak positions follow from Bragg's law for the DFT cell and can differ from measured ones.

Crystal structure
```
data_CsLaSO
_cell_length_a 6.930
_cell_length_b 4.001
_cell_length_c 8.176
_cell_angle_alpha 90.00
_cell_angle_beta 106.30
_cell_angle_gamma 90.00
_space_group_name_H-M_alt 'C 1 m 1'
_space_group_IT_number 8
loop_
_space_group_symop_operation_xyz
'x,y,z'
'x,-y,z'
'x+1/2,y+1/2,z'
'x+1/2,-y+1/2,z'
loop_
_atom_site_label
_atom_site_type_symbol
_atom_site_fract_x
_atom_site_fract_y
_atom_site_fract_z
Cs1 Cs 0.000 0.000 0.000
La1 La 0.340 0.500 0.524
S1 S 0.431 0.000 0.295
O1 O 0.211 0.000 0.637
```

Most intense lines, 5 to 70 degrees two-theta, low angle first:
d 3.924, intensity 64, (0 0 2); d 3.428, intensity 97, (2 0 -1); d 3.324, intensity 63, (1 1 -1); d 2.791, intensity 100, (2 0 1); d 2.413, intensity 68, (2 0 -3); d 2.243, intensity 21, (1 1 -3); d 2.001, intensity 55, (0 2 0); d 1.782, intensity 43, (3 1 1); d 1.626, intensity 19, (2 2 1); d 1.605, intensity 17, (2 0 -5)

Entry 3:
Cs2LaSi2O6: calculated powder diffractogram (copper Kα), based on DFT lattice parameters and positions (PBE).
Peak positions follow from Bragg's law for the DFT cell and can differ from measured ones.

Crystal structure
```
data_Cs2LaSi2O6
_cell_length_a 6.2100
_cell_length_b 6.2100
_cell_length_c 18.4688
_cell_angle_alpha 90.00
_cell_angle_beta 90.00
_cell_angle_gamma 120.00
_space_group_name_H-M_alt 'R -3 m'
_space_group_IT_number 166
_space_group_name_Hall '-R 3 2"'
loop_
_atom_site_label
_atom_site_type_symbol
_atom_site_fract_x
_atom_site_fract_y
_atom_site_fract_z
Cs1 Cs 0.0000 0.0000 0.2206
La1 La 0.0000 0.0000 0.0000
Si1 Si 0.0000 0.0000 0.4272
O1 O 0.0377 0.5189 0.2579
```

Most intense lines, 5 to 70 degrees two-theta, low angle first:
d 5.164, intensity 25, (1 0 1); d 3.503, intensity 57, (1 0 4); d 3.105, intensity 100, (1 1 0); d 3.045, intensity 87, (0 1 5); d 2.324, intensity 40, (0 2 4); d 2.174, intensity 26, (2 0 5); d 1.860, intensity 21, (2 1 4); d 1.793, intensity 20, (3 0 0); d 1.781, intensity 29, (1 2 5); d 1.712, intensity 37, (1 1 9)

Entry 4:
Cs2LaTi2O6: calculated powder diffractogram (copper Kα), based on DFT lattice parameters and positions (PBE).
Peak positions follow from Bragg's law for the DFT cell and can differ from measured ones.

Crystal structure
```
data_Cs2LaTi2O6
_cell_length_a 11.169
_cell_length_b 6.447
_cell_length_c 7.538
_cell_angle_alpha 90.00
_cell_angle_beta 119.52
_cell_angle_gamma 90.00
_space_group_name_H-M_alt 'C 1 2/m 1'
_space_group_IT_number 12
loop_
_space_group_symop_operation_xyz
'x,y,z'
'-x,-y,-z'
'-x,y,-z'
'x,-y,z'
'x+1/2,y+1/2,z'
'-x+1/2,-y+1/2,-z'
'-x+1/2,y+1/2,-z'
'x+1/2,-y+1/2,z'
loop_
_atom_site_label
_atom_site_type_symbol
_atom_site_fract_x
_atom_site_fract_y
_atom_site_fract_z
Cs1 Cs 0.215 0.000 0.144
La1 La 0.000 0.000 0.500
Ti1 Ti 0.078 0.500 0.235
O1 O 0.012 0.262 0.277
O2 O 0.249 0.000 0.720
```

Most intense lines, 5 to 70 degrees two-theta, low angle first:
d 5.372, intensity 8, (1 1 0); d 3.691, intensity 17, (1 1 1); d 3.220, intensity 100, (1 1 -2); d 2.428, intensity 14, (4 0 0); d 2.277, intensity 15, (2 2 1); d 1.860, intensity 29, (3 3 -1); d 1.810, intensity 15, (3 1 2); d 1.612, intensity 10, (0 4 0); d 1.441, intensity 10, (7 1 -4); d 1.417, intensity 7, (3 3 -4)